1.
The following is a computed powder X-ray diffraction pattern of Li2Hf2B. It was derived from the GGA-PBE geometry in Alexandria, using Cu Kα (λ = 1.5418 Å).
Kinematic intensities with the Lorentz-polarization factor, no thermal factor.

Largest 10 diffraction maxima, sorted by position, 2θ = 10–90°:
21.18 deg, d = 4.195 Å, I 100
30.27 deg, d = 2.952 Å, I 42
33.96 deg, d = 2.639 Å, I 64
37.25 deg, d = 2.414 Å, I 45
40.37 deg, d = 2.234 Å, I 91
43.13 deg, d = 2.097 Å, I 20
48.77 deg, d = 1.867 Å, I 18
56.00 deg, d = 1.642 Å, I 31
69.37 deg, d = 1.355 Å, I 28
81.39 deg, d = 1.182 Å, I 18

Cell and atoms:
```
Li2Hf2B
1.0
5.9020 0.0000 0.0000
0.0000 5.9020 0.0000
0.0000 0.0000 4.1950
Li Hf B
4 4 2
Direct
0.1406 0.3594 0.0000 Li
0.3594 0.8594 0.0000 Li
0.6406 0.1406 0.0000 Li
0.8594 0.6406 0.0000 Li
0.1792 0.6792 0.5000 Hf
0.3208 0.1792 0.5000 Hf
0.6792 0.8208 0.5000 Hf
0.8208 0.3208 0.5000 Hf
0.0000 0.0000 0.0000 B
0.5000 0.5000 0.0000 B
```

---

2.
The following is a computed powder X-ray diffraction pattern of Ce3Zn22. It was derived from the GGA-PBE geometry in Alexandria, using Cu Kα (λ = 1.5418 Å).
Kinematic intensities with the Lorentz-polarization factor, no thermal factor.

Largest 10 diffraction maxima, sorted by position, 2θ = 10–90°:
30.83 deg, d = 2.900 Å, I 21
33.78 deg, d = 2.654 Å, I 17
37.02 deg, d = 2.428 Å, I 33
38.71 deg, d = 2.326 Å, I 99
39.57 deg, d = 2.278 Å, I 100
40.64 deg, d = 2.220 Å, I 68
42.43 deg, d = 2.130 Å, I 31
44.72 deg, d = 2.027 Å, I 25
58.01 deg, d = 1.590 Å, I 20
73.23 deg, d = 1.293 Å, I 23

Cell and atoms:
```
Ce3Zn22
1.0
-4.4398 4.4398 10.6141
4.4398 -4.4398 10.6141
4.4398 4.4398 -10.6141
Ce Zn
6 44
Direct
0.1250 0.8750 0.2500 Ce
0.2529 0.5029 0.7500 Ce
0.4971 0.7471 0.7500 Ce
0.5029 0.2529 0.2500 Ce
0.7471 0.4971 0.2500 Ce
0.8750 0.1250 0.7500 Ce
0.0000 0.0000 0.0000 Zn
0.0000 0.0000 0.5000 Zn
0.0000 0.5000 0.0000 Zn
0.0414 0.3198 0.2391 Zn
0.0414 0.8023 0.7217 Zn
0.1167 0.2193 0.6026 Zn
0.1167 0.5141 0.8974 Zn
0.1400 0.7374 0.4026 Zn
0.1523 0.6236 0.5288 Zn
0.1652 0.2626 0.9026 Zn
0.1977 0.4194 0.2391 Zn
0.1977 0.9586 0.7783 Zn
0.2193 0.1167 0.1026 Zn
0.2626 0.1652 0.4026 Zn
0.2626 0.8600 0.0974 Zn
0.3198 0.0414 0.7391 Zn
0.3198 0.5806 0.2783 Zn
0.3764 0.4052 0.5288 Zn
0.3764 0.8477 0.9712 Zn
0.4052 0.3764 0.0288 Zn
0.4194 0.1977 0.7391 Zn
0.4194 0.6802 0.2217 Zn
0.4859 0.8833 0.6026 Zn
0.5000 0.0000 0.5000 Zn
0.5141 0.1167 0.3974 Zn
0.5806 0.3198 0.7783 Zn
0.5806 0.8023 0.2609 Zn
0.5948 0.6236 0.9712 Zn
0.6236 0.1523 0.0288 Zn
0.6236 0.5948 0.4712 Zn
0.6802 0.4194 0.7217 Zn
0.6802 0.9586 0.2609 Zn
0.7374 0.1400 0.9026 Zn
0.7374 0.8348 0.5974 Zn
0.7807 0.8833 0.8974 Zn
0.8023 0.0414 0.2217 Zn
0.8023 0.5806 0.7609 Zn
0.8348 0.7374 0.0974 Zn
0.8477 0.3764 0.4712 Zn
0.8600 0.2626 0.5974 Zn
0.8833 0.4859 0.1026 Zn
0.8833 0.7807 0.3974 Zn
0.9586 0.1977 0.2783 Zn
0.9586 0.6802 0.7609 Zn
```

---

3.
The following is a computed powder X-ray diffraction pattern of Ca5Te4Se. It was derived from the GGA-PBE geometry in Alexandria, using Cu Kα (λ = 1.5418 Å).
Kinematic intensities with the Lorentz-polarization factor, no thermal factor.

Largest 10 diffraction maxima, sorted by position, 2θ = 10–90°:
24.42 deg, d = 3.644 Å, I 40
28.28 deg, d = 3.156 Å, I 100
40.39 deg, d = 2.233 Å, I 62
40.55 deg, d = 2.225 Å, I 12
47.76 deg, d = 1.904 Å, I 11
49.98 deg, d = 1.825 Å, I 13
50.13 deg, d = 1.820 Å, I 13
66.13 deg, d = 1.413 Å, I 16
66.24 deg, d = 1.411 Å, I 11
73.40 deg, d = 1.290 Å, I 11

Cell and atoms:
```
Ca5Te4Se
1.0
-2.2250 3.1620 11.1721
2.2250 -3.1620 11.1721
2.2250 3.1620 -11.1721
Ca Te Se
5 4 1
Direct
0.0000 0.0000 0.0000 Ca
0.2018 0.2018 0.0000 Ca
0.4077 0.4077 0.0000 Ca
0.5923 0.5923 0.0000 Ca
0.7982 0.7982 0.0000 Ca
0.0995 0.5995 0.5000 Te
0.3034 0.8034 0.5000 Te
0.6966 0.1966 0.5000 Te
0.9005 0.4005 0.5000 Te
0.5000 0.0000 0.5000 Se
```

---

4.
The following is a computed powder X-ray diffraction pattern of ThFe3I12. It was derived from the GGA-PBE geometry in Alexandria, using Cu Kα (λ = 1.5418 Å).
Kinematic intensities with the Lorentz-polarization factor, no thermal factor.

Largest 10 diffraction maxima, sorted by position, 2θ = 10–90°:
16.45 deg, d = 5.389 Å, I 27
17.99 deg, d = 4.931 Å, I 28
21.99 deg, d = 4.042 Å, I 24
25.86 deg, d = 3.445 Å, I 24
26.28 deg, d = 3.391 Å, I 38
28.84 deg, d = 3.096 Å, I 100
29.21 deg, d = 3.057 Å, I 44
33.25 deg, d = 2.694 Å, I 20
33.71 deg, d = 2.659 Å, I 20
49.80 deg, d = 1.831 Å, I 20

Cell and atoms:
```
ThFe3I12
1.0
14.1190 0.0000 0.0000
-7.0595 12.2274 0.0000
0.0000 0.0000 8.3410
Th Fe I
2 6 24
Direct
0.3333 0.6667 0.2500 Th
0.6667 0.3333 0.7500 Th
0.1025 0.6955 0.7500 Fe
0.3045 0.4070 0.7500 Fe
0.4070 0.1025 0.2500 Fe
0.5930 0.8975 0.7500 Fe
0.6955 0.5930 0.2500 Fe
0.8975 0.3045 0.2500 Fe
0.0150 0.8109 0.7500 I
0.0209 0.5107 0.2500 I
0.1891 0.2041 0.7500 I
0.2041 0.0150 0.2500 I
0.2341 0.4706 0.0019 I
0.2341 0.4706 0.4981 I
0.2365 0.7659 0.0019 I
0.2365 0.7659 0.4981 I
0.4706 0.2365 0.5019 I
0.4706 0.2365 0.9981 I
0.4893 0.5103 0.2500 I
0.4897 0.9791 0.2500 I
0.5103 0.0209 0.7500 I
0.5107 0.4897 0.7500 I
0.5294 0.7635 0.0019 I
0.5294 0.7635 0.4981 I
0.7635 0.2341 0.5019 I
0.7635 0.2341 0.9981 I
0.7659 0.5294 0.5019 I
0.7659 0.5294 0.9981 I
0.7959 0.9850 0.7500 I
0.8109 0.7959 0.2500 I
0.9791 0.4893 0.7500 I
0.9850 0.1891 0.2500 I
```